Structure and theoretical powder diffraction line list of BaLa3Pt (a DFT-relaxed cell (PBE, Alexandria); copper Kα).

Peak list (6 most intense, 2θ = 10–90°, by intensity)
2.910 Å, 2θ 30.7, rel. 100; 2.644 Å, 2θ 33.9, rel. 47; 3.281 Å, 2θ 27.2, rel. 45; 5.672 Å, 2θ 15.6, rel. 38; 2.999 Å, 2θ 29.8, rel. 35; 2.504 Å, 2θ 35.9, rel. 27

Atomic structure:
abc: 10.884 6.889 11.464
angles: 90.00 119.33 90.00
Sites, in units of the cell vectors:
Ba  0.068  0.133  0.344
Ba  0.068  0.367  0.844
Ba  0.932  0.633  0.156
Ba  0.932  0.867  0.656
La  0.178  0.605  0.556
La  0.178  0.895  0.056
La  0.375  0.683  0.916
La  0.375  0.817  0.416
La  0.383  0.139  0.738
La  0.383  0.361  0.238
La  0.617  0.639  0.762
La  0.617  0.861  0.262
La  0.625  0.183  0.584
La  0.625  0.317  0.084
La  0.822  0.105  0.944
La  0.822  0.395  0.444
Pt  0.374  0.100  0.013
Pt  0.374  0.400  0.513
Pt  0.626  0.600  0.487
Pt  0.626  0.900  0.987

Structure and theoretical powder diffraction line list of Li4SeBr2 (a DFT-relaxed cell (PBE, Alexandria); copper Kα).

Peak list (6 most intense, 2θ = 10–90°, by intensity)
3.375 Å, 2θ 26.4, rel. 100; 3.439 Å, 2θ 25.9, rel. 61; 1.973 Å, 2θ 46.0, rel. 43; 2.432 Å, 2θ 37.0, rel. 33; 1.937 Å, 2θ 46.9, rel. 18; 1.687 Å, 2θ 54.4, rel. 14

Atomic structure:
abc: 7.827 7.827 7.827
angles: 143.80 143.80 52.13
Sites, in units of the cell vectors:
Li  0.000  0.500  0.500
Li  0.175  0.175  0.000
Li  0.500  0.000  0.500
Li  0.825  0.825  0.000
Se  0.000  0.000  0.000
Br  0.349  0.349  0.000
Br  0.651  0.651  0.000

Structure and theoretical powder diffraction line list of AgHg (a DFT-relaxed cell (PBE, Alexandria); copper Kα).

Peak list (6 most intense, 2θ = 10–90°, by intensity)
2.322 Å, 2θ 38.8, rel. 100; 2.369 Å, 2θ 38.0, rel. 82; 2.753 Å, 2θ 32.5, rel. 71; 2.340 Å, 2θ 38.5, rel. 68; 3.111 Å, 2θ 28.7, rel. 60; 2.744 Å, 2θ 32.6, rel. 48

Atomic structure:
abc: 3.057 7.269 7.269
angles: 121.13 90.00 90.00
Sites, in units of the cell vectors:
Ag  0.000  0.000  0.000
Ag  0.500  0.174  0.398
Ag  0.500  0.398  0.174
Hg  0.000  0.239  0.767
Hg  0.000  0.767  0.239
Hg  0.500  0.650  0.650